This entry pairs a crystal structure of K2Nb3WO12 with its theoretical X-ray powder pattern. Radiation: Cu Kα (λ = 1.5418 Å). Structure: a DFT-relaxed cell (PBE+U, Alexandria).
Intensities are scaled so that the largest is 100.

Structure:
Cell: 7.4720 7.4720 7.4720 Å, 60.20 60.20 60.20°
Fractional positions:
1 K 0.1201 0.1201 0.1201
2 K 0.8799 0.8799 0.8799
3 Nb 0.0000 0.5000 0.5000
4 Nb 0.5000 0.0000 0.5000
5 Nb 0.5000 0.5000 0.0000
6 W 0.5000 0.5000 0.5000
7 O 0.1849 0.1849 0.5626
8 O 0.1849 0.5626 0.1849
9 O 0.1948 0.5609 0.5609
10 O 0.4374 0.8151 0.8151
11 O 0.4391 0.4391 0.8052
12 O 0.4391 0.8052 0.4391
13 O 0.5609 0.1948 0.5609
14 O 0.5609 0.5609 0.1948
15 O 0.5626 0.1849 0.1849
16 O 0.8052 0.4391 0.4391
17 O 0.8151 0.4374 0.8151
18 O 0.8151 0.8151 0.4374

Most intense lines, 5 to 70 degrees two-theta, by intensity:
27.97°, I 100; 14.49°, I 99; 29.20°, I 52; 44.45°, I 30; 57.75°, I 21; 48.75°, I 21; 48.59°, I 20; 29.32°, I 16; 67.96°, I 15; 51.12°, I 11; 57.02°, I 11; 33.88°, I 10